Entry 1:
Diffraction record for LaSm3Tm6. The powder diffraction line list is simulated, not measured: it uses DFT lattice parameters and positions (PBE) and a wavelength of 1.5418 Å.
No peak broadening, texture or thermal motion is included.

The 10 most intense peaks (5° ≤ 2θ ≤ 70°), low angle first:
29.44°, I = 71
31.43°, I = 100
32.74°, I = 13
41.99°, I = 12
43.60°, I = 24
49.80°, I = 9
54.73°, I = 25
55.96°, I = 20
57.83°, I = 14
65.60°, I = 14

Structural model:
a b c (Å): 6.8718 6.8718 6.8718
angles (deg): 91.68 91.68 91.68
Sites, in units of the cell vectors:
La1 0.0000 0.0000 0.0000
Sm1 0.2515 0.2515 0.2515
Sm2 0.5000 0.5000 0.5000
Sm3 0.7482 0.7482 0.7482
Tm1 0.0006 0.3320 0.6689
Tm2 0.1735 0.8272 0.5005
Tm3 0.3320 0.6689 0.0006
Tm4 0.5005 0.1735 0.8272
Tm5 0.6689 0.0006 0.3320
Tm6 0.8272 0.5005 0.1735



Entry 2:
Diffraction record for BPb2O3F. The powder diffraction line list is simulated, not measured: it uses DFT lattice parameters and positions (PBE) and a wavelength of 1.5418 Å.
No peak broadening, texture or thermal motion is included.

The 10 most intense peaks (5° ≤ 2θ ≤ 70°), low angle first:
23.81°, I = 38
23.99°, I = 38
24.73°, I = 63
30.03°, I = 100
34.06°, I = 27
42.19°, I = 39
49.04°, I = 37
49.24°, I = 37
52.66°, I = 20
69.67°, I = 16

Structural model:
a b c (Å): 7.4192 7.4192 14.9458
angles (deg): 90.00 90.00 120.00
Sites, in units of the cell vectors:
B1 0.0039 0.3671 0.2500
B2 0.3633 0.9961 0.2500
B3 0.3671 0.3633 0.7500
B4 0.6329 0.6367 0.2500
B5 0.6367 0.0039 0.7500
B6 0.9961 0.6329 0.7500
Pb1 0.0186 0.6932 0.1083
Pb2 0.0186 0.6932 0.3917
Pb3 0.3068 0.3255 0.1083
Pb4 0.3068 0.3255 0.3917
Pb5 0.3255 0.0186 0.6083
Pb6 0.3255 0.0186 0.8917
Pb7 0.6745 0.9814 0.1083
Pb8 0.6745 0.9814 0.3917
Pb9 0.6932 0.6745 0.6083
Pb10 0.6932 0.6745 0.8917
Pb11 0.9814 0.3068 0.6083
Pb12 0.9814 0.3068 0.8917
O1 0.0007 0.7236 0.6680
O2 0.0007 0.7236 0.8320
O3 0.0107 0.5582 0.2500
O4 0.2764 0.2771 0.6680
O5 0.2764 0.2771 0.8320
O6 0.2771 0.0007 0.1680
O7 0.2771 0.0007 0.3320
O8 0.4418 0.4525 0.2500
O9 0.4525 0.0107 0.7500
O10 0.5475 0.9893 0.2500
O11 0.5582 0.5475 0.7500
O12 0.7229 0.9993 0.6680
O13 0.7229 0.9993 0.8320
O14 0.7236 0.7229 0.1680
O15 0.7236 0.7229 0.3320
O16 0.9893 0.4418 0.7500
O17 0.9993 0.2764 0.1680
O18 0.9993 0.2764 0.3320
F1 0.0000 0.0000 0.0000
F2 0.0000 0.0000 0.5000
F3 0.3333 0.6667 0.0572
F4 0.3333 0.6667 0.4428
F5 0.6667 0.3333 0.5572
F6 0.6667 0.3333 0.9428



Entry 3:
Diffraction record for BeCdSe2. The powder diffraction line list is simulated, not measured: it uses DFT lattice parameters and positions (PBE) and a wavelength of 1.5418 Å.
No peak broadening, texture or thermal motion is included.

The 10 most intense peaks (5° ≤ 2θ ≤ 70°), low angle first:
25.00°, I = 47
27.66°, I = 100
28.04°, I = 58
28.64°, I = 28
31.97°, I = 44
32.72°, I = 46
32.97°, I = 72
41.31°, I = 29
42.43°, I = 50
48.06°, I = 26

Structural model:
a b c (Å): 7.5917 7.5917 12.4820
angles (deg): 90.73 90.73 100.43
Sites, in units of the cell vectors:
Be1 0.0068 0.2808 0.1524
Be2 0.2000 0.5095 0.6451
Be3 0.2808 0.0068 0.6524
Be4 0.4905 0.8000 0.8549
Be5 0.5095 0.2000 0.1451
Be6 0.7192 0.9932 0.3476
Be7 0.8000 0.4905 0.3549
Be8 0.9932 0.7192 0.8476
Cd1 0.0318 0.2340 0.8861
Cd2 0.2340 0.0318 0.3861
Cd3 0.3550 0.5777 0.3962
Cd4 0.4223 0.6450 0.1038
Cd5 0.5777 0.3550 0.8962
Cd6 0.6450 0.4223 0.6038
Cd7 0.7660 0.9682 0.6139
Cd8 0.9682 0.7660 0.1139
Se1 0.0334 0.9666 0.7500
Se2 0.0435 0.5259 0.2558
Se3 0.2010 0.7596 0.5430
Se4 0.2404 0.7990 0.9570
Se5 0.2661 0.2849 0.0517
Se6 0.2849 0.2661 0.5517
Se7 0.4422 0.5578 0.7500
Se8 0.4741 0.9565 0.2442
Se9 0.5259 0.0435 0.7558
Se10 0.5578 0.4422 0.2500
Se11 0.7151 0.7339 0.4483
Se12 0.7339 0.7151 0.9483
Se13 0.7596 0.2010 0.0430
Se14 0.7990 0.2404 0.4570
Se15 0.9565 0.4741 0.7442
Se16 0.9666 0.0334 0.2500



Entry 4:
Diffraction record for Ce2Ta2O9. The powder diffraction line list is simulated, not measured: it uses DFT lattice parameters and positions (PBE) and a wavelength of 1.5418 Å.
No peak broadening, texture or thermal motion is included.

The 10 most intense peaks (5° ≤ 2θ ≤ 70°), low angle first:
15.08°, I = 30
22.87°, I = 41
23.87°, I = 45
24.86°, I = 33
29.77°, I = 100
29.94°, I = 41
30.42°, I = 27
36.74°, I = 34
47.10°, I = 37
48.10°, I = 31

Structural model:
a b c (Å): 6.5054 3.8603 15.6140
angles (deg): 90.00 113.41 90.00
Sites, in units of the cell vectors:
Ce1 0.2029 0.0020 0.2173
Ce2 0.2029 0.4980 0.7173
Ce3 0.7971 0.5020 0.2827
Ce4 0.7971 0.9980 0.7827
Ta1 0.2614 0.5011 0.0412
Ta2 0.2614 0.9989 0.5412
Ta3 0.7386 0.0011 0.4588
Ta4 0.7386 0.4989 0.9588
O1 0.0145 0.9996 0.4177
O2 0.0145 0.5004 0.9177
O3 0.1513 0.5020 0.2825
O4 0.1513 0.9980 0.7825
O5 0.2524 0.0008 0.0602
O6 0.2524 0.4992 0.5602
O7 0.4296 0.5011 0.1814
O8 0.4296 0.9989 0.6814
O9 0.5000 0.0000 0.5000
O10 0.5000 0.5000 0.0000
O11 0.5704 0.0011 0.3186
O12 0.5704 0.4989 0.8186
O13 0.7476 0.5008 0.4398
O14 0.7476 0.9992 0.9398
O15 0.8487 0.0020 0.2175
O16 0.8487 0.4980 0.7175
O17 0.9855 0.0004 0.5823
O18 0.9855 0.4996 0.0823



Entry 5:
Diffraction record for AlAg5Hg. The powder diffraction line list is simulated, not measured: it uses DFT lattice parameters and positions (PBE) and a wavelength of 1.5418 Å.
No peak broadening, texture or thermal motion is included.

The 10 most intense peaks (5° ≤ 2θ ≤ 70°), low angle first:
22.16°, I = 26
24.50°, I = 6
30.52°, I = 24
38.04°, I = 100
42.15°, I = 18
45.21°, I = 30
48.13°, I = 7
55.53°, I = 9
63.52°, I = 21
65.86°, I = 9

Structural model:
a b c (Å): 4.0110 4.0110 8.5747
angles (deg): 90.00 90.00 90.00
Sites, in units of the cell vectors:
Al1 0.0000 0.0000 0.0000
Ag1 0.0000 0.5000 0.2450
Ag2 0.0000 0.5000 0.7550
Ag3 0.5000 0.0000 0.2450
Ag4 0.5000 0.0000 0.7550
Ag5 0.5000 0.5000 0.0000
Hg1 0.5000 0.5000 0.5000



Entry 6:
Diffraction record for Pr6Hg5Sb. The powder diffraction line list is simulated, not measured: it uses DFT lattice parameters and positions (PBE) and a wavelength of 1.5418 Å.
No peak broadening, texture or thermal motion is included.

The 10 most intense peaks (5° ≤ 2θ ≤ 70°), low angle first:
32.44°, I = 20
32.77°, I = 100
46.75°, I = 15
47.33°, I = 7
58.09°, I = 15
58.45°, I = 15
58.56°, I = 7
58.74°, I = 8
68.66°, I = 7
68.75°, I = 5

Structural model:
a b c (Å): 9.5272 9.5272 5.4723
angles (deg): 106.66 106.66 120.70
Sites, in units of the cell vectors:
Pr1 0.0821 0.4115 0.7467
Pr2 0.2455 0.2455 0.2452
Pr3 0.4115 0.0821 0.7467
Pr4 0.5885 0.9179 0.2533
Pr5 0.7545 0.7545 0.7548
Pr6 0.9179 0.5885 0.2533
Hg1 0.1784 0.8216 0.0000
Hg2 0.3338 0.6662 0.5000
Hg3 0.5000 0.5000 0.0000
Hg4 0.6662 0.3338 0.5000
Hg5 0.8216 0.1784 0.0000
Sb1 0.0000 0.0000 0.5000



Entry 7:
Diffraction record for La10Sm4Pu. The powder diffraction line list is simulated, not measured: it uses DFT lattice parameters and positions (PBE) and a wavelength of 1.5418 Å.
No peak broadening, texture or thermal motion is included.

The 10 most intense peaks (5° ≤ 2θ ≤ 70°), low angle first:
27.22°, I = 49
28.02°, I = 100
32.63°, I = 25
33.04°, I = 49
33.28°, I = 13
39.01°, I = 13
40.13°, I = 14
41.58°, I = 17
43.90°, I = 13
56.40°, I = 11

Structural model:
a b c (Å): 8.8043 8.8043 8.8043
angles (deg): 110.41 110.41 107.62
Sites, in units of the cell vectors:
La1 0.0389 0.9577 0.3158
La2 0.0423 0.3582 0.0812
La3 0.2500 0.7500 0.5000
La4 0.2769 0.9611 0.9188
La5 0.3582 0.2769 0.3158
La6 0.6418 0.7231 0.6842
La7 0.7231 0.0389 0.0812
La8 0.7500 0.2500 0.5000
La9 0.9577 0.6418 0.9188
La10 0.9611 0.0423 0.6842
Sm1 0.1864 0.4539 0.6403
Sm2 0.4539 0.8136 0.2675
Sm3 0.5461 0.1864 0.7325
Sm4 0.8136 0.5461 0.3597
Pu1 0.5000 0.5000 0.0000



Entry 8:
Diffraction record for Mg2MnIr. The powder diffraction line list is simulated, not measured: it uses DFT lattice parameters and positions (PBE) and a wavelength of 1.5418 Å.
No peak broadening, texture or thermal motion is included.

The 10 most intense peaks (5° ≤ 2θ ≤ 70°), low angle first:
19.59°, I = 100
23.53°, I = 72
29.80°, I = 40
31.62°, I = 34
35.91°, I = 46
38.31°, I = 96
39.79°, I = 86
44.00°, I = 65
50.49°, I = 37
67.23°, I = 44

Structural model:
a b c (Å): 5.6596 7.5616 2.9986
angles (deg): 90.00 90.00 90.00
Sites, in units of the cell vectors:
Mg1 0.2500 0.2500 0.0000
Mg2 0.2500 0.7500 0.0000
Mg3 0.7500 0.2500 0.0000
Mg4 0.7500 0.7500 0.0000
Mn1 0.0000 0.0000 0.5000
Mn2 0.5000 0.5000 0.5000
Ir1 0.0000 0.5000 0.5000
Ir2 0.5000 0.0000 0.5000